# NdSm4Ag
Theoretical X-ray diffraction stick pattern, copper Kα. Input: a crystal structure in Alexandria, relaxed with PBE.
No peak broadening, texture or thermal motion is included.

Crystal structure
```
data_NdSm4Ag
_space_group_name_H-M_alt 'C m c 21'
_space_group_IT_number 36
_space_group_name_Hall 'C 2c -2'
_cell_length_a 5.5771
_cell_length_b 21.1281
_cell_length_c 6.5596
_cell_angle_alpha 90.00
_cell_angle_beta 90.00
_cell_angle_gamma 90.00
loop_
_atom_site_label
_atom_site_type_symbol
_atom_site_fract_x
_atom_site_fract_y
_atom_site_fract_z
_atom_site_occupancy
Nd1 Nd 0.0000 0.1330 0.0000 1
Sm1 Sm 0.0000 0.0650 0.5011 1
Sm2 Sm 0.0000 0.2537 0.6153 1
Sm3 Sm 0.0000 0.3227 0.1398 1
Sm4 Sm 0.0000 0.4659 0.3346 1
Ag1 Ag 0.0000 0.3951 0.7430 1
```

Main lines, in order of rising 2θ (2θ = 10–80°):
- 2θ 28.50, I = 28, hkl 0 2 2
- 2θ 28.77, I = 20, hkl 0 6 1
- 2θ 29.82, I = 100, hkl 1 5 1
- 2θ 31.94, I = 56, hkl 1 1 2
- 2θ 32.10, I = 62, hkl 2 0 0
- 2θ 34.18, I = 21, hkl 1 3 2
- 2θ 36.52, I = 48, hkl 1 7 1
- 2θ 60.15, I = 27, hkl 1 9 3

***

# Nd3Sm2Ag2
Theoretical X-ray diffraction stick pattern, copper Kα. Input: a crystal structure in Alexandria, relaxed with PBE.
No peak broadening, texture or thermal motion is included.

Crystal structure
```
data_Nd3Sm2Ag2
_space_group_name_H-M_alt 'C m m m'
_space_group_IT_number 65
_space_group_name_Hall '-C 2 2'
_cell_length_a 3.6832
_cell_length_b 31.7329
_cell_length_c 3.6589
_cell_angle_alpha 90.00
_cell_angle_beta 90.00
_cell_angle_gamma 90.00
loop_
_atom_site_label
_atom_site_type_symbol
_atom_site_fract_x
_atom_site_fract_y
_atom_site_fract_z
_atom_site_occupancy
Nd1 Nd 0.0000 0.0000 0.0000 1
Nd2 Nd 0.0000 0.1223 0.0000 1
Sm1 Sm 0.0000 0.2972 0.5000 1
Ag1 Ag 0.0000 0.4390 0.5000 1
```

Main lines, in order of rising 2θ (2θ = 10–80°):
- 2θ 31.29, I = 97, hkl 1 7 0
- 2θ 33.31, I = 100, hkl 0 8 1
- 2θ 34.67, I = 100, hkl 1 1 1
- 2θ 35.24, I = 24, hkl 1 9 0
- 2θ 49.49, I = 20, hkl 2 0 0
- 2θ 56.08, I = 35, hkl 1 15 1
- 2θ 60.04, I = 29, hkl 1 7 2
- 2θ 60.97, I = 36, hkl 2 8 1

***

# NdSmAg
Theoretical X-ray diffraction stick pattern, copper Kα. Input: a crystal structure in Alexandria, relaxed with PBE.
No peak broadening, texture or thermal motion is included.

Crystal structure
```
data_NdSmAg
_space_group_name_H-M_alt 'P n m a'
_space_group_IT_number 62
_space_group_name_Hall '-P 2ac 2n'
_cell_length_a 7.4057
_cell_length_b 3.7139
_cell_length_c 12.7506
_cell_angle_alpha 90.00
_cell_angle_beta 90.00
_cell_angle_gamma 90.00
loop_
_atom_site_label
_atom_site_type_symbol
_atom_site_fract_x
_atom_site_fract_y
_atom_site_fract_z
_atom_site_occupancy
Nd1 Nd 0.1278 0.2500 0.0986 1
Sm1 Sm 0.1223 0.2500 0.3947 1
Ag1 Ag 0.1249 0.2500 0.7543 1
```

Main lines, in order of rising 2θ (2θ = 10–80°):
- 2θ 32.03, I = 100, hkl 2 0 3
- 2θ 34.19, I = 46, hkl 2 1 0
- 2θ 42.54, I = 8, hkl 0 0 6
- 2θ 49.06, I = 8, hkl 0 2 0
- 2θ 49.21, I = 8, hkl 4 0 0
- 2θ 55.67, I = 15, hkl 2 1 6
- 2θ 59.81, I = 16, hkl 2 2 3
- 2θ 59.92, I = 16, hkl 4 1 3

***

# Nd4Ag2Sn
Theoretical X-ray diffraction stick pattern, copper Kα. Input: a crystal structure in Alexandria, relaxed with PBE.
No peak broadening, texture or thermal motion is included.

Crystal structure
```
data_Nd4Ag2Sn
_space_group_name_H-M_alt 'P 1'
_space_group_IT_number 1
_space_group_name_Hall 'P 1'
_cell_length_a 7.4938
_cell_length_b 7.4952
_cell_length_c 8.4684
_cell_angle_alpha 106.28
_cell_angle_beta 106.28
_cell_angle_gamma 102.91
loop_
_atom_site_label
_atom_site_type_symbol
_atom_site_fract_x
_atom_site_fract_y
_atom_site_fract_z
_atom_site_occupancy
Nd1 Nd 0.0000 0.0000 0.0000 1
Nd2 Nd 0.0270 0.4699 0.9451 1
Nd3 Nd 0.1565 0.3392 0.4447 1
Nd4 Nd 0.3881 0.1828 0.7976 1
Nd5 Nd 0.4709 0.8599 0.0778 1
Nd6 Nd 0.5462 0.7832 0.5774 1
Nd7 Nd 0.6875 0.3132 0.5005 1
Nd8 Nd 0.8702 0.7012 0.2981 1
Ag1 Ag 0.2755 0.9514 0.3504 1
Ag2 Ag 0.6384 0.5884 0.8507 1
Ag3 Ag 0.7542 0.2512 0.1224 1
Ag4 Ag 0.9378 0.0669 0.6227 1
Sn1 Sn 0.1011 0.7214 0.6906 1
Sn2 Sn 0.4086 0.4131 0.1904 1
```

Main lines, in order of rising 2θ (2θ = 10–80°):
- 2θ 28.09, I = 35, hkl 1 -1 2
- 2θ 29.82, I = 59, hkl 2 1 -1
- 2θ 31.13, I = 100, hkl 1 -2 2
- 2θ 32.61, I = 35, hkl 0 2 1
- 2θ 32.77, I = 45, hkl -2 2 1
- 2θ 33.08, I = 71, hkl 1 0 -3
- 2θ 37.01, I = 19, hkl 0 3 -1
- 2θ 37.51, I = 19, hkl 3 -1 0